For AlReNi2H, the PBE geometry in Alexandria gives the simulated powder XRD pattern in this record (Cu Kα (λ = 1.5418 Å)).

Largest 12 diffraction maxima, in order of rising 2θ, 2θ from 10° to 90°:
3.661 Å, 2θ 24.31, I = 44.3, hkl 1 0 0
2.682 Å, 2θ 33.41, I = 38.4, hkl 1 0 1
2.164 Å, 2θ 41.75, I = 100.0, hkl 1 1 1
1.971 Å, 2θ 46.06, I = 19.0, hkl 0 0 2
1.830 Å, 2θ 49.82, I = 30.1, hkl 2 0 0
1.735 Å, 2θ 52.75, I = 11.2, hkl 1 0 2
1.637 Å, 2θ 56.18, I = 9.2, hkl 2 1 0
1.512 Å, 2θ 61.31, I = 14.0, hkl 2 1 1
1.341 Å, 2θ 70.17, I = 20.9, hkl 2 0 2
1.294 Å, 2θ 73.11, I = 9.3, hkl 2 2 0
1.172 Å, 2θ 82.30, I = 13.4, hkl 1 1 3
1.111 Å, 2θ 87.90, I = 23.1, hkl 3 1 1

Structural model:
a = 3.661 Å, b = 3.661 Å, c = 3.942 Å
α = 90.00°, β = 90.00°, γ = 90.00°
Positions (direct):
Al1 0.000 0.000 0.000
Re1 0.500 0.500 0.000
Ni1 0.000 0.500 0.500
Ni2 0.500 0.000 0.500
H1 0.500 0.500 0.500